# 1
Theoretical X-ray powder pattern of Na5LiSb2 for λ = 1.5418 Å (Cu Kα), from a crystal structure in Alexandria, relaxed with PBE.

Structure:
```
data_Na5LiSb2
_cell_length_a 5.4140
_cell_length_b 5.4140
_cell_length_c 18.9531
_cell_angle_alpha 90.00
_cell_angle_beta 90.00
_cell_angle_gamma 120.00
_symmetry_space_group_name_H-M 'P 63/m m c'
_symmetry_Int_Tables_number 194
_symmetry_space_group_name_Hall '-P 6c 2c'
loop_
_atom_site_label
_atom_site_type_symbol
_atom_site_fract_x
_atom_site_fract_y
_atom_site_fract_z
_atom_site_occupancy
Na1 Na 0.0000 0.0000 0.1316 1
Na2 Na 0.3333 0.6667 0.0525 1
Na3 Na 0.3333 0.6667 0.2500 1
Li1 Li 0.3333 0.6667 0.7500 1
Sb1 Sb 0.3333 0.6667 0.6155 1
```

Principal peaks in the range 2θ from 10° to 90°, by angle:
d/Å, Position (°2θ), Rel. int., h k l
4.738, 18.7, 59, 0 0 4
4.689, 18.9, 37, 1 0 0
4.551, 19.5, 65, 1 0 1
3.765, 23.6, 81, 1 0 3
2.948, 30.3, 46, 1 0 5
2.707, 33.1, 100, 1 1 0
2.348, 38.3, 100, 1 1 4
1.783, 51.2, 25, 1 1 8
1.772, 51.6, 23, 2 0 7
1.483, 62.6, 33, 3 0 4

# 2
Theoretical X-ray powder pattern of NaLiSb for λ = 1.5418 Å (Cu Kα), from a crystal structure in Alexandria, relaxed with PBE.

Structure:
```
data_NaLiSb
_cell_length_a 3.905
_cell_length_b 3.905
_cell_length_c 9.425
_cell_angle_alpha 90.00
_cell_angle_beta 90.00
_cell_angle_gamma 90.00
_symmetry_space_group_name_H-M 'I 4 m m'
_symmetry_Int_Tables_number 107
_symmetry_space_group_name_Hall 'I 4 -2'
loop_
_atom_site_label
_atom_site_type_symbol
_atom_site_fract_x
_atom_site_fract_y
_atom_site_fract_z
_atom_site_occupancy
Na1 Na 0.000 0.000 0.000 1
Li1 Li 0.000 0.000 0.314 1
Sb1 Sb 0.000 0.000 0.673 1
```

Principal peaks in the range 2θ from 10° to 90°, by angle:
d/Å, Position (°2θ), Rel. int., h k l
4.712, 18.8, 47, 0 0 2
3.607, 24.7, 100, 1 0 1
2.761, 32.4, 49, 1 1 0
2.448, 36.7, 69, 1 0 3
2.382, 37.8, 32, 1 1 2
1.952, 46.5, 17, 2 0 0
1.804, 50.6, 14, 2 0 2
1.792, 51.0, 14, 1 1 4
1.717, 53.4, 24, 2 1 1
1.526, 60.7, 30, 2 1 3